Calculated XRD peak list
Compound: Ti6Al16Ni7
Radiation: Cu Kα, 1.54184 Å
Structure: the PBE geometry in Alexandria
Kinematic intensities with the Lorentz-polarization factor, no thermal factor.

Atomic structure:
abc: 8.360 8.360 8.360
angles: 60.00 60.00 60.00
Positions (direct):
1 Ti 0.181 0.181 0.819
2 Ti 0.181 0.819 0.181
3 Ti 0.181 0.819 0.819
4 Ti 0.819 0.181 0.181
5 Ti 0.819 0.181 0.819
6 Ti 0.819 0.819 0.181
7 Al 0.143 0.619 0.619
8 Al 0.162 0.162 0.162
9 Al 0.162 0.162 0.513
10 Al 0.162 0.513 0.162
11 Al 0.381 0.381 0.381
12 Al 0.381 0.381 0.857
13 Al 0.381 0.857 0.381
14 Al 0.487 0.838 0.838
15 Al 0.513 0.162 0.162
16 Al 0.619 0.143 0.619
17 Al 0.619 0.619 0.143
18 Al 0.619 0.619 0.619
19 Al 0.838 0.487 0.838
20 Al 0.838 0.838 0.487
21 Al 0.838 0.838 0.838
22 Al 0.857 0.381 0.381
23 Ni 0.000 0.000 0.500
24 Ni 0.000 0.500 0.000
25 Ni 0.000 0.500 0.500
26 Ni 0.500 0.000 0.000
27 Ni 0.500 0.000 0.500
28 Ni 0.500 0.500 0.000
29 Ni 0.500 0.500 0.500

Most intense lines, 10 to 80 degrees two-theta, most intense first:
2.090 Å, intensity 100; 2.275 Å, intensity 50; 1.782 Å, intensity 38; 3.413 Å, intensity 26; 2.413 Å, intensity 25; 2.956 Å, intensity 18; 2.712 Å, intensity 17; 1.970 Å, intensity 16; 1.356 Å, intensity 14; 1.998 Å, intensity 14

---

Calculated XRD peak list
Compound: Al2TlNi
Radiation: Cu Kα, 1.54184 Å
Structure: the PBE geometry in Alexandria
Kinematic intensities with the Lorentz-polarization factor, no thermal factor.

Atomic structure:
abc: 4.644 4.644 4.644
angles: 60.00 60.00 60.00
Positions (direct):
1 Al 0.000 0.000 0.000
2 Al 0.250 0.250 0.250
3 Tl 0.500 0.500 0.500
4 Ni 0.750 0.750 0.750

Most intense lines, 10 to 80 degrees two-theta, most intense first:
2.322 Å, intensity 100; 3.792 Å, intensity 73; 1.980 Å, intensity 39; 1.341 Å, intensity 34; 3.284 Å, intensity 22; 1.642 Å, intensity 17; 1.507 Å, intensity 16; 1.264 Å, intensity 12; 1.469 Å, intensity 9; 1.896 Å, intensity 7

---

Calculated XRD peak list
Compound: TmAl8Ni4
Radiation: Cu Kα, 1.54184 Å
Structure: the PBE geometry in Alexandria
Kinematic intensities with the Lorentz-polarization factor, no thermal factor.

Atomic structure:
abc: 6.571 6.571 6.571
angles: 98.67 98.67 134.31
Positions (direct):
1 Tm 0.000 0.000 0.000
2 Al 0.000 0.343 0.343
3 Al 0.000 0.657 0.657
4 Al 0.278 0.500 0.778
5 Al 0.343 0.000 0.343
6 Al 0.500 0.278 0.778
7 Al 0.500 0.722 0.222
8 Al 0.657 0.000 0.657
9 Al 0.722 0.500 0.222
10 Ni 0.000 0.000 0.500
11 Ni 0.000 0.500 0.000
12 Ni 0.500 0.000 0.000
13 Ni 0.500 0.500 0.500

Most intense lines, 10 to 80 degrees two-theta, most intense first:
2.191 Å, intensity 100; 2.153 Å, intensity 68; 2.141 Å, intensity 63; 3.063 Å, intensity 59; 3.028 Å, intensity 47; 6.055 Å, intensity 46; 4.383 Å, intensity 45; 2.491 Å, intensity 42; 1.531 Å, intensity 37; 2.708 Å, intensity 25